# 1
Starting from a crystal structure in the Materials Project, relaxed with GGA+U, the powder X-ray diffraction pattern of Li7Mn4CoO12 was simulated for λ = 1.5418 Å (Cu Kα).

Crystal structure
abc: 2.9682 7.6546 10.1724
angles: 72.48 88.44 81.57
Space group P1 (No. 1)
Symmetry-distinct sites (fractional):
Li1 0.0000 0.0000 0.0000 (multiplicity 1)
Li2 0.0124 0.9914 0.5038 (multiplicity 1)
Li3 0.1677 0.6690 0.7470 (multiplicity 1)
Li4 0.3198 0.3471 0.9927 (multiplicity 1)
Li5 0.3341 0.3370 0.4915 (multiplicity 1)
Li6 0.6555 0.6796 0.5061 (multiplicity 1)
Li7 0.6806 0.6590 0.9888 (multiplicity 1)
Mn1 0.1705 0.6660 0.2477 (multiplicity 1)
Mn2 0.4953 0.0052 0.2474 (multiplicity 1)
Mn3 0.4960 0.9950 0.7432 (multiplicity 1)
Mn4 0.8374 0.3435 0.7509 (multiplicity 1)
Co1 0.8349 0.3359 0.2462 (multiplicity 1)
O1 0.0379 0.8632 0.8551 (multiplicity 1)
O2 0.1253 0.8290 0.3670 (multiplicity 1)
O3 0.2170 0.5027 0.1305 (multiplicity 1)
O4 0.2963 0.4744 0.6384 (multiplicity 1)
O5 0.3960 0.1821 0.8533 (multiplicity 1)
O6 0.4504 0.1735 0.3609 (multiplicity 1)
O7 0.5409 0.8407 0.1281 (multiplicity 1)
O8 0.5673 0.8515 0.6280 (multiplicity 1)
O9 0.7642 0.4886 0.8647 (multiplicity 1)
O10 0.7915 0.4943 0.3643 (multiplicity 1)
O11 0.8762 0.1738 0.1313 (multiplicity 1)
O12 0.9382 0.1559 0.6411 (multiplicity 1)

Main lines, in order of falling intensity (15 to 90 degrees two-theta):
d/Å	Position (°2θ)	intensity	hkl
4.850	18.29	100	0 0 2
2.043	44.35	56	1 2 -2
2.176	41.49	34	1 -1 2
2.591	34.62	19	1 -1 0
2.472	36.34	12	0 3 2
2.459	36.54	11	1 2 0
1.434	65.03	9	1 5 2
1.498	61.94	9	0 3 -4
1.486	62.49	8	1 2 6
1.481	62.74	8	2 1 0

=====

# 2
Starting from a crystal structure in the Materials Project, relaxed with GGA+U, the powder X-ray diffraction pattern of Li4MnCo3O8 was simulated for λ = 1.5418 Å (Cu Kα).

Crystal structure
abc: 2.9425 6.6656 7.7532
angles: 90.95 97.20 102.53
Space group P-1 (No. 2)
Symmetry-distinct sites (fractional):
Li1 0.2482 0.1234 0.3740 (multiplicity 2)
Li2 0.2482 0.6244 0.8739 (multiplicity 2)
Mn1 0.0000 0.5000 0.5000 (multiplicity 1)
Co1 0.0000 0.0000 0.0000 (multiplicity 1)
Co2 0.4977 0.7475 0.2476 (multiplicity 2)
O1 0.1220 0.3025 0.9269 (multiplicity 2)
O2 0.1244 0.7994 0.4279 (multiplicity 2)
O3 0.3495 0.4463 0.3174 (multiplicity 2)
O4 0.3751 0.9483 0.8237 (multiplicity 2)

Main lines, in order of falling intensity (15 to 90 degrees two-theta):
d/Å	Position (°2θ)	intensity	hkl
4.856	18.27	100	0 1 1
2.155	41.92	30	1 0 2
2.110	42.85	28	0 3 -1
2.021	44.84	23	-1 1 3
2.579	34.79	18	1 -1 1
2.539	35.36	16	0 2 -2
1.468	63.38	14	-2 1 1
2.448	36.72	12	1 0 -2
2.426	37.06	10	0 2 2
1.452	64.13	9	1 2 -4